(1)
Theoretical powder diffraction line list of LuF3 for Cu Kα, from a DFT-relaxed cell (PBE, Alexandria).
Peak positions follow from Bragg's law for the DFT cell and can differ from measured ones.

Cell and atoms:
Unit cell a=6.6812 b=6.6812 c=6.8462 alpha=90.00 beta=90.00 gamma=120.00
Fractional coordinates of all 24 atoms:
Lu1 0.0000 0.3473 0.2500
Lu2 0.0000 0.6527 0.7500
Lu3 0.3473 0.0000 0.2500
Lu4 0.3473 0.3473 0.7500
Lu5 0.6527 0.0000 0.7500
Lu6 0.6527 0.6527 0.2500
F1 0.0000 0.0000 0.2500
F2 0.0000 0.0000 0.7500
F3 0.0723 0.3762 0.9230
F4 0.0723 0.6960 0.4230
F5 0.3040 0.3762 0.4230
F6 0.3040 0.9277 0.9230
F7 0.3333 0.6667 0.1848
F8 0.3333 0.6667 0.6848
F9 0.3762 0.0723 0.5770
F10 0.3762 0.3040 0.0770
F11 0.6238 0.6960 0.9230
F12 0.6238 0.9277 0.4230
F13 0.6667 0.3333 0.3152
F14 0.6667 0.3333 0.8152
F15 0.6960 0.0723 0.0770
F16 0.6960 0.6238 0.5770
F17 0.9277 0.3040 0.5770
F18 0.9277 0.6238 0.0770

Main lines, most intense first (2θ from 10° to 80°):
- 29.76 deg, I = 100
- 48.30 deg, I = 45
- 26.03 deg, I = 35
- 47.12 deg, I = 34
- 54.62 deg, I = 30
- 26.69 deg, I = 25

---

(2)
Theoretical powder diffraction line list of RbPuZnO4 for Cu Kα, from a DFT-relaxed cell (PBE, Alexandria).
Peak positions follow from Bragg's law for the DFT cell and can differ from measured ones.

Cell and atoms:
Unit cell a=7.1989 b=7.1989 c=7.1989 alpha=128.14 beta=122.48 gamma=81.11
Fractional coordinates of all 14 atoms:
Rb1 0.4205 0.1705 0.2500
Rb2 0.5795 0.8295 0.7500
Pu1 0.0000 0.5000 0.5000
Pu2 0.5000 0.5000 0.0000
Zn1 0.0000 0.0000 0.5000
Zn2 0.0000 0.5000 0.0000
O1 0.1337 0.6960 0.4377
O2 0.2417 0.3040 0.9377
O3 0.2574 0.3048 0.5474
O4 0.2574 0.7100 0.9526
O5 0.7426 0.2900 0.0474
O6 0.7426 0.6952 0.4526
O7 0.7583 0.6960 0.0623
O8 0.8663 0.3040 0.5623

Main lines, most intense first (2θ from 10° to 80°):
- 30.56 deg, I = 100
- 16.24 deg, I = 100
- 28.30 deg, I = 63
- 51.52 deg, I = 45
- 32.78 deg, I = 31
- 38.63 deg, I = 23

---

(3)
Theoretical powder diffraction line list of RbCeGaCl6 for Cu Kα, from a DFT-relaxed cell (PBE, Alexandria).
Peak positions follow from Bragg's law for the DFT cell and can differ from measured ones.

Cell and atoms:
Unit cell a=7.0375 b=7.0375 c=13.2527 alpha=90.00 beta=90.00 gamma=90.00
Fractional coordinates of all 18 atoms:
Rb1 0.0000 0.0000 0.0000
Rb2 0.5000 0.5000 0.5000
Ce1 0.0000 0.0000 0.6606
Ce2 0.5000 0.5000 0.1606
Ga1 0.0000 0.0000 0.3363
Ga2 0.5000 0.5000 0.8363
Cl1 0.1715 0.1715 0.5040
Cl2 0.1950 0.1950 0.7959
Cl3 0.2364 0.2364 0.1718
Cl4 0.2636 0.7363 0.6718
Cl5 0.3050 0.6950 0.2959
Cl6 0.3285 0.6715 0.0040
Cl7 0.6715 0.3285 0.0040
Cl8 0.6950 0.3050 0.2959
Cl9 0.7363 0.2636 0.6718
Cl10 0.7637 0.7637 0.1718
Cl11 0.8050 0.8050 0.7959
Cl12 0.8285 0.8285 0.5040

Main lines, most intense first (2θ from 10° to 80°):
- 17.82 deg, I = 100
- 35.01 deg, I = 79
- 23.78 deg, I = 53
- 43.69 deg, I = 34
- 36.10 deg, I = 30
- 14.25 deg, I = 26